Diffraction record for SmHo2Se5. The powder diffractogram is computed, not measured: it uses a crystal structure in Alexandria, relaxed with GGA-PBE and Cu Kα, 1.54184 Å.
Neutral-atom scattering factors, no anomalous dispersion.

Main lines, by angle (2θ = 10–90°):
| 2theta | I (rel.) | h k l |
| --- | --- | --- |
| 13.4 | 12 | 0 0 2 |
| 21.3 | 12 | 1 1 2 |
| 27.1 | 22 | 0 0 4 |
| 31.8 | 10 | 1 1 4 |
| 33.3 | 100 | 2 1 3 |
| 37.3 | 49 | 3 1 0 |
| 43.4 | 20 | 2 1 5 |
| 46.7 | 10 | 3 1 4 |
| 47.8 | 10 | 2 0 6 |
| 53.9 | 21 | 4 2 0 |
| 69.1 | 14 | 3 1 8 |
| 69.9 | 24 | 5 2 3 |

Atomic structure:
```
data_SmHo2Se5
_chemical_formula_sum 'Sm4 Ho8 Se20'
_space_group_name_H-M_alt 'I 4/m c m'
_space_group_IT_number 140
_space_group_name_Hall '-I 4 2c'
_cell_length_a 7.6138
_cell_length_b 7.6138
_cell_length_c 13.1774
_cell_angle_alpha 90.00
_cell_angle_beta 90.00
_cell_angle_gamma 90.00
loop_
_atom_site_label
_atom_site_type_symbol
_atom_site_fract_x
_atom_site_fract_y
_atom_site_fract_z
Sm1 Sm 0.0000 0.0000 0.2500
Ho1 Ho 0.1555 0.3445 0.0000
Se1 Se 0.0000 0.0000 0.0000
Se2 Se 0.1553 0.3447 0.3535
```